1.
Structure and calculated XRD peak list of Ce4Bi3O4 (a DFT-relaxed cell (PBE, Alexandria); Cu Kα X-rays).
Neutral-atom scattering factors, no anomalous dispersion.

Crystal structure
Cell lengths 7.876, 7.876, 7.876 Å; angles 90.00, 90.00, 90.00 degrees
Space group I-43m (No. 217)
Unique sites:
Ce (0.162, 0.162, 0.838) (multiplicity 8)
Bi (0.000, 0.000, 0.500) (multiplicity 6)
O (0.128, 0.128, 0.128) (multiplicity 8)

Peak list (10 most intense, 5° ≤ 2θ ≤ 70°, sorted by position)
2θ = 22.6°, d 3.938, I = 29, (2 0 0); 2θ = 27.7°, d 3.215, I = 99, (2 1 1); 2θ = 32.1°, d 2.785, I = 100, (2 2 0); 2θ = 36.1°, d 2.491, I = 78, (3 1 0); 2θ = 39.6°, d 2.274, I = 31, (2 2 2); 2θ = 49.1°, d 1.856, I = 32, (4 1 1); 2θ = 51.9°, d 1.761, I = 59, (4 2 0); 2θ = 57.3°, d 1.608, I = 32, (4 2 2); 2θ = 64.8°, d 1.438, I = 20, (5 2 1); 2θ = 69.6°, d 1.351, I = 19, (4 3 3)



2.
Structure and calculated XRD peak list of Na2Nb4O11 (a DFT-relaxed cell (PBE, Alexandria); Cu Kα X-rays).
Neutral-atom scattering factors, no anomalous dispersion.

Crystal structure
Cell lengths 11.285, 6.195, 12.926 Å; angles 90.00, 105.93, 90.00 degrees
Space group Cc (No. 9)
Unique sites:
Na (0.000, 0.234, 0.000) (multiplicity 4)
Na (0.183, 0.247, 0.519) (multiplicity 4)
Nb (0.089, 0.126, 0.750) (multiplicity 4)
Nb (0.271, 0.421, 0.263) (multiplicity 4)
Nb (0.329, 0.238, 0.005) (multiplicity 4)
Nb (0.420, 0.077, 0.764) (multiplicity 4)
O (0.016, 0.133, 0.602) (multiplicity 4)
O (0.094, 0.479, 0.761) (multiplicity 4)
O (0.175, 0.135, 0.925) (multiplicity 4)
O (0.208, 0.136, 0.261) (multiplicity 4)
O (0.254, 0.246, 0.734) (multiplicity 4)
O (0.262, 0.411, 0.108) (multiplicity 4)
O (0.325, 0.487, 0.419) (multiplicity 4)
O (0.362, 0.011, 0.608) (multiplicity 4)
O (0.431, 0.088, 0.921) (multiplicity 4)
O (0.438, 0.256, 0.293) (multiplicity 4)
O (0.483, 0.361, 0.766) (multiplicity 4)

Peak list (10 most intense, 5° ≤ 2θ ≤ 70°, sorted by position)
2θ = 14.3°, d 6.215, I = 63, (0 0 2); 2θ = 16.3°, d 5.426, I = 18, (2 0 0); 2θ = 17.0°, d 5.202, I = 37, (1 1 -1); 2θ = 28.6°, d 3.124, I = 40, (3 1 0); 2θ = 28.7°, d 3.105, I = 100, (0 0 4); 2θ = 29.7°, d 3.006, I = 40, (0 2 1); 2θ = 31.1°, d 2.873, I = 39, (3 1 1); 2θ = 31.5°, d 2.839, I = 37, (3 1 -3); 2θ = 32.3°, d 2.772, I = 21, (0 2 2); 2θ = 50.4°, d 1.810, I = 31, (3 3 -1)



3.
Structure and calculated XRD peak list of Ce2H5Ru2 (a DFT-relaxed cell (PBE, Alexandria); Cu Kα X-rays).
Neutral-atom scattering factors, no anomalous dispersion.

Crystal structure
Cell lengths 11.797, 3.536, 4.900 Å; angles 90.00, 100.05, 90.00 degrees
Space group C2/m (No. 12)
Unique sites:
Ce (0.105, 0.000, 0.326) (multiplicity 4)
H (0.000, 0.500, 0.000) (multiplicity 2)
H (0.109, 0.000, 0.833) (multiplicity 4)
H (0.201, 0.500, 0.565) (multiplicity 4)
Ru (0.143, 0.500, 0.875) (multiplicity 4)

Peak list (10 most intense, 5° ≤ 2θ ≤ 70°, sorted by position)
2θ = 30.8°, d 2.904, I = 51, (4 0 0); 2θ = 33.1°, d 2.706, I = 100, (1 1 1); 2θ = 37.2°, d 2.418, I = 75, (3 1 -1); 2θ = 37.8°, d 2.380, I = 34, (2 0 -2); 2θ = 43.0°, d 2.102, I = 16, (2 0 2); 2θ = 51.7°, d 1.768, I = 15, (0 2 0); 2θ = 53.4°, d 1.716, I = 15, (5 1 1); 2θ = 61.4°, d 1.510, I = 14, (4 2 0); 2θ = 61.7°, d 1.503, I = 15, (7 1 -1); 2θ = 62.7°, d 1.482, I = 13, (1 1 -3)



4.
Structure and calculated XRD peak list of KAcGe2O6 (a DFT-relaxed cell (PBE, Alexandria); Cu Kα X-rays).
Neutral-atom scattering factors, no anomalous dispersion.

Crystal structure
Cell lengths 11.189, 11.814, 4.786 Å; angles 90.00, 90.35, 90.00 degrees
Space group C2/c (No. 15)
Unique sites:
K (0.000, 0.086, 0.250) (multiplicity 4)
Ac (0.000, 0.300, 0.750) (multiplicity 4)
Ge (0.226, 0.411, 0.301) (multiplicity 8)
O (0.117, 0.311, 0.227) (multiplicity 8)
O (0.124, 0.121, 0.740) (multiplicity 8)
O (0.190, 0.447, 0.664) (multiplicity 8)

Peak list (10 most intense, 5° ≤ 2θ ≤ 70°, sorted by position)
2θ = 21.6°, d 4.121, I = 100, (1 1 1); 2θ = 21.9°, d 4.062, I = 95, (2 2 0); 2θ = 24.0°, d 3.715, I = 41, (1 3 0); 2θ = 28.8°, d 3.104, I = 55, (2 2 -1); 2θ = 28.9°, d 3.090, I = 67, (2 2 1); 2θ = 30.4°, d 2.937, I = 39, (1 3 -1); 2θ = 31.2°, d 2.863, I = 39, (3 1 -1); 2θ = 32.0°, d 2.797, I = 32, (4 0 0); 2θ = 37.6°, d 2.393, I = 43, (0 0 2); 2θ = 55.2°, d 1.663, I = 34, (1 5 2)